TbGdCu2As2P2: calculated PXRD pattern (Cu Kα), based on a cell relaxed with PBE.
Kinematic intensities with the Lorentz-polarization factor, no thermal factor.

The 6 most intense peaks (2θ from 10° to 90°), in order of rising 2θ:
d = 3.576 Å, I 51.6
d = 2.490 Å, I 31.7
d = 2.453 Å, I 21.6
d = 2.376 Å, I 100.0
d = 1.920 Å, I 29.8
d = 1.179 Å, I 20.8

Crystal structure
```
TbGdCu2As2P2
1.0
3.840 0.000 0.000
0.000 3.840 0.000
0.000 0.000 9.814
Tb Gd Cu As P
1 1 2 2 2
Direct
0.000 0.000 0.000
0.500 0.500 0.513
0.000 0.500 0.256
0.500 0.000 0.256
0.000 0.500 0.757
0.500 0.000 0.757
0.000 0.000 0.406
0.500 0.500 0.105
```


GdCuSbAs: calculated PXRD pattern (Cu Kα), based on a cell relaxed with PBE.
Kinematic intensities with the Lorentz-polarization factor, no thermal factor.

The 6 most intense peaks (2θ from 10° to 90°), in order of rising 2θ:
d = 3.184 Å, I 34.8
d = 2.594 Å, I 17.8
d = 2.521 Å, I 100.0
d = 2.138 Å, I 17.8
d = 2.065 Å, I 39.7
d = 1.263 Å, I 21.8

Crystal structure
```
GdCuSbAs
1.0
4.129 0.000 0.000
0.000 4.129 0.000
0.000 0.000 9.999
Gd Cu Sb As
2 2 2 2
Direct
0.250 0.250 0.226
0.750 0.750 0.774
0.250 0.750 0.500
0.750 0.250 0.500
0.250 0.250 0.665
0.750 0.750 0.335
0.250 0.750 0.000
0.750 0.250 0.000
```


GdYCu2As4: calculated PXRD pattern (Cu Kα), based on a cell relaxed with PBE.
Kinematic intensities with the Lorentz-polarization factor, no thermal factor.

The 6 most intense peaks (2θ from 10° to 90°), in order of rising 2θ:
d = 3.079 Å, I 19.7
d = 2.530 Å, I 21.5
d = 2.424 Å, I 100.0
d = 1.964 Å, I 35.5
d = 1.771 Å, I 15.0
d = 1.205 Å, I 21.1

Crystal structure
```
GdYCu2As4
1.0
3.928 0.000 0.000
0.000 3.928 0.000
0.000 0.000 9.919
Gd Y Cu As
1 1 2 4
Direct
0.000 0.000 0.000
0.500 0.500 0.526
0.000 0.500 0.263
0.500 0.000 0.263
0.000 0.000 0.422
0.000 0.500 0.762
0.500 0.000 0.762
0.500 0.500 0.104
```


Hf2Cu2SiGeAs2: calculated PXRD pattern (Cu Kα), based on a cell relaxed with PBE.
Kinematic intensities with the Lorentz-polarization factor, no thermal factor.

The 6 most intense peaks (2θ from 10° to 90°), in order of rising 2θ:
d = 3.442 Å, I 28.8
d = 2.926 Å, I 25.4
d = 2.292 Å, I 100.0
d = 2.015 Å, I 21.7
d = 1.843 Å, I 31.7
d = 1.133 Å, I 20.8

Crystal structure
```
Hf2Cu2SiGeAs2
1.0
3.686 0.000 0.000
0.000 3.686 0.000
0.000 0.000 9.626
Hf Cu Si Ge As
2 2 1 1 2
Direct
0.000 0.500 0.223
0.500 0.000 0.777
0.000 0.000 0.500
0.500 0.500 0.500
0.500 0.500 0.000
0.000 0.000 0.000
0.000 0.500 0.681
0.500 0.000 0.319
```


HfCuNiAs: calculated PXRD pattern (Cu Kα), based on a cell relaxed with PBE.
Kinematic intensities with the Lorentz-polarization factor, no thermal factor.

The 6 most intense peaks (2θ from 10° to 90°), in order of rising 2θ:
d = 3.596 Å, I 18.8
d = 2.202 Å, I 100.0
d = 1.878 Å, I 9.8
d = 1.557 Å, I 16.4
d = 1.271 Å, I 32.7
d = 1.101 Å, I 10.7

Crystal structure
```
HfCuNiAs
1.0
6.228 0.000 0.000
0.000 6.228 0.000
0.000 0.000 6.228
Hf Cu Ni As
4 4 4 4
Direct
0.000 0.000 0.000
0.000 0.500 0.500
0.500 0.000 0.500
0.500 0.500 0.000
0.000 0.000 0.500
0.000 0.500 0.000
0.500 0.000 0.000
0.500 0.500 0.500
0.250 0.250 0.750
0.250 0.750 0.250
0.750 0.250 0.250
0.750 0.750 0.750
0.250 0.250 0.250
0.250 0.750 0.750
0.750 0.250 0.750
0.750 0.750 0.250
```


HfZr2Cu2As4Pd2: calculated PXRD pattern (Cu Kα), based on a cell relaxed with PBE.
Kinematic intensities with the Lorentz-polarization factor, no thermal factor.

The 6 most intense peaks (2θ from 10° to 90°), in order of rising 2θ:
d = 2.530 Å, I 94.3
d = 2.513 Å, I 100.0
d = 2.392 Å, I 63.7
d = 2.381 Å, I 96.6
d = 2.137 Å, I 71.7
d = 1.949 Å, I 70.4

Crystal structure
```
HfZr2Cu2As4Pd2
1.0
6.567 0.000 0.000
0.000 3.898 0.000
-0.083 0.000 7.665
Hf Zr Cu As Pd
1 2 2 4 2
Direct
0.000 0.000 0.000
0.427 0.500 0.508
0.925 0.500 0.645
0.087 0.000 0.373
0.832 0.500 0.259
0.217 0.500 0.208
0.218 0.000 0.685
0.707 0.500 0.963
0.713 0.000 0.432
0.312 0.500 0.896
0.616 0.000 0.768
```


Cu6Hg3As4S12: calculated PXRD pattern (Cu Kα), based on a cell relaxed with PBE.
Kinematic intensities with the Lorentz-polarization factor, no thermal factor.

The 6 most intense peaks (2θ from 10° to 90°), in order of rising 2θ:
d = 5.055 Å, I 10.8
d = 3.135 Å, I 100.0
d = 2.715 Å, I 23.8
d = 1.920 Å, I 49.9
d = 1.637 Å, I 38.1
d = 1.246 Å, I 14.4

Crystal structure
```
Cu6Hg3As4S12
1.0
6.924 3.997 3.132
-6.924 3.997 3.132
0.000 -7.995 3.132
Cu Hg As S
6 3 4 12
Direct
0.105 0.263 0.631
0.148 0.942 0.891
0.263 0.631 0.105
0.631 0.105 0.263
0.891 0.148 0.942
0.942 0.891 0.148
0.034 0.562 0.417
0.417 0.034 0.562
0.562 0.417 0.034
0.358 0.358 0.358
0.507 0.728 0.791
0.728 0.791 0.507
0.791 0.507 0.728
0.047 0.725 0.982
0.131 0.407 0.181
0.181 0.131 0.407
0.293 0.837 0.713
0.340 0.522 0.873
0.407 0.181 0.131
0.522 0.873 0.340
0.713 0.293 0.837
0.725 0.982 0.047
0.837 0.713 0.293
0.873 0.340 0.522
0.982 0.047 0.725
```


HoTmCu2As4: calculated PXRD pattern (Cu Kα), based on a cell relaxed with PBE.
Kinematic intensities with the Lorentz-polarization factor, no thermal factor.

The 6 most intense peaks (2θ from 10° to 90°), in order of rising 2θ:
d = 3.615 Å, I 23.8
d = 2.498 Å, I 25.7
d = 2.398 Å, I 100.0
d = 1.945 Å, I 33.9
d = 1.747 Å, I 15.8
d = 1.193 Å, I 21.1

Crystal structure
```
HoTmCu2As4
1.0
3.891 0.000 0.000
0.000 3.891 0.000
0.000 0.000 9.777
Ho Tm Cu As
1 1 2 4
Direct
0.000 0.000 0.000
0.500 0.500 0.473
0.000 0.500 0.736
0.500 0.000 0.736
0.000 0.000 0.573
0.000 0.500 0.238
0.500 0.000 0.238
0.500 0.500 0.899
```


InCu2As: calculated PXRD pattern (Cu Kα), based on a cell relaxed with PBE.
Kinematic intensities with the Lorentz-polarization factor, no thermal factor.

The 6 most intense peaks (2θ from 10° to 90°), in order of rising 2θ:
d = 3.214 Å, I 4.1
d = 2.875 Å, I 4.0
d = 2.273 Å, I 100.0
d = 1.607 Å, I 15.7
d = 1.312 Å, I 29.9
d = 1.136 Å, I 9.2

Crystal structure
```
InCu2As
1.0
6.428 0.000 0.000
0.000 6.428 0.000
0.000 0.000 6.428
In Cu As
4 8 4
Direct
0.000 0.000 0.000
0.000 0.000 0.500
0.000 0.500 0.000
0.500 0.000 0.000
0.266 0.266 0.266
0.266 0.266 0.734
0.266 0.734 0.266
0.266 0.734 0.734
0.734 0.266 0.266
0.734 0.266 0.734
0.734 0.734 0.266
0.734 0.734 0.734
0.000 0.500 0.500
0.500 0.000 0.500
0.500 0.500 0.000
0.500 0.500 0.500
```


CuAs5Ir3: calculated PXRD pattern (Cu Kα), based on a cell relaxed with PBE.
Kinematic intensities with the Lorentz-polarization factor, no thermal factor.

The 6 most intense peaks (2θ from 10° to 90°), in order of rising 2θ:
d = 7.061 Å, I 100.0
d = 4.779 Å, I 18.3
d = 2.390 Å, I 25.2
d = 2.264 Å, I 50.3
d = 1.979 Å, I 68.1
d = 1.380 Å, I 14.9

Crystal structure
```
CuAs5Ir3
1.0
5.519 0.000 0.000
-2.759 4.779 0.000
0.000 0.000 7.061
Cu As Ir
1 5 3
Direct
0.000 0.000 0.000
0.000 0.000 0.500
0.333 0.667 0.221
0.333 0.667 0.779
0.667 0.333 0.221
0.667 0.333 0.779
0.000 0.500 0.500
0.500 0.000 0.500
0.500 0.500 0.500
```


ScCuAsIr: calculated PXRD pattern (Cu Kα), based on a cell relaxed with PBE.
Kinematic intensities with the Lorentz-polarization factor, no thermal factor.

The 6 most intense peaks (2θ from 10° to 90°), in order of rising 2θ:
d = 3.637 Å, I 25.9
d = 3.149 Å, I 16.3
d = 2.227 Å, I 100.0
d = 1.899 Å, I 13.8
d = 1.575 Å, I 16.5
d = 1.286 Å, I 33.0

Crystal structure
```
ScCuAsIr
1.0
6.299 0.000 0.000
0.000 6.299 0.000
0.000 0.000 6.299
Sc Cu As Ir
4 4 4 4
Direct
0.000 0.000 0.000
0.000 0.500 0.500
0.500 0.000 0.500
0.500 0.500 0.000
0.250 0.250 0.750
0.250 0.750 0.250
0.750 0.250 0.250
0.750 0.750 0.750
0.000 0.000 0.500
0.000 0.500 0.000
0.500 0.000 0.000
0.500 0.500 0.500
0.250 0.250 0.250
0.250 0.750 0.750
0.750 0.250 0.750
0.750 0.750 0.250
```


KNa3Cu2As2: calculated PXRD pattern (Cu Kα), based on a cell relaxed with PBE.
Kinematic intensities with the Lorentz-polarization factor, no thermal factor.

The 6 most intense peaks (2θ from 10° to 90°), in order of rising 2θ:
d = 4.625 Å, I 100.0
d = 3.888 Å, I 42.7
d = 2.784 Å, I 32.3
d = 2.558 Å, I 51.3
d = 2.477 Å, I 46.0
d = 2.177 Å, I 55.2

Crystal structure
```
KNa3Cu2As2
1.0
5.738 0.000 0.000
0.000 5.417 0.000
-1.399 0.000 5.908
K Na Cu As
1 3 2 2
Direct
0.000 0.000 0.000
0.288 0.500 0.315
0.639 0.000 0.337
0.927 0.500 0.633
0.453 0.252 0.817
0.453 0.748 0.817
0.209 0.000 0.543
0.704 0.500 0.089
```


K4CuAs2Pd: calculated PXRD pattern (Cu Kα), based on a cell relaxed with PBE.
Kinematic intensities with the Lorentz-polarization factor, no thermal factor.

The 6 most intense peaks (2θ from 10° to 90°), in order of rising 2θ:
d = 6.132 Å, I 90.0
d = 5.034 Å, I 100.0
d = 3.078 Å, I 76.6
d = 2.732 Å, I 57.2
d = 2.705 Å, I 76.5
d = 2.642 Å, I 39.7

Crystal structure
```
K4CuAs2Pd
1.0
7.734 0.000 0.000
0.000 10.068 0.000
-0.167 0.000 5.791
K Cu As Pd
8 2 4 2
Direct
0.150 0.170 0.253
0.150 0.830 0.253
0.350 0.330 0.747
0.350 0.670 0.747
0.650 0.330 0.253
0.650 0.670 0.253
0.850 0.170 0.747
0.850 0.830 0.747
0.000 0.500 0.000
0.500 0.000 0.000
0.250 0.000 0.759
0.250 0.500 0.241
0.750 0.000 0.241
0.750 0.500 0.759
0.000 0.500 0.500
0.500 0.000 0.500
```


K4CuAs2Pt: calculated PXRD pattern (Cu Kα), based on a cell relaxed with PBE.
Kinematic intensities with the Lorentz-polarization factor, no thermal factor.

The 6 most intense peaks (2θ from 10° to 90°), in order of rising 2θ:
d = 6.141 Å, I 100.0
d = 5.034 Å, I 75.3
d = 4.155 Å, I 40.2
d = 3.078 Å, I 63.1
d = 2.703 Å, I 52.2
d = 2.600 Å, I 29.7

Crystal structure
```
K4CuAs2Pt
1.0
7.750 0.000 0.000
0.000 10.067 0.000
-0.088 0.000 5.707
K Cu As Pt
8 2 4 2
Direct
0.151 0.171 0.256
0.151 0.829 0.256
0.349 0.329 0.744
0.349 0.671 0.744
0.651 0.329 0.256
0.651 0.671 0.256
0.849 0.171 0.744
0.849 0.829 0.744
0.000 0.500 0.000
0.500 0.000 0.000
0.249 0.000 0.759
0.251 0.500 0.241
0.749 0.500 0.759
0.751 0.000 0.241
0.000 0.500 0.500
0.500 0.000 0.500
```